Computed XRD peak list of SmPu3Cu8 for CuKα, from the PBE geometry in Alexandria.
Peak positions follow from Bragg's law for the DFT cell and can differ from measured ones.

Principal peaks in the range 2θ from 10° to 90°, in order of rising 2θ:
| hkl | two_theta | I/Imax |
| --- | --- | --- |
| 1 0 0 | 19.51 | 17 |
| 1 0 2 | 28.65 | 20 |
| 1 1 0 | 34.13 | 67 |
| 1 0 3 | 37.22 | 85 |
| 2 0 0 | 39.61 | 15 |
| 1 1 2 | 40.29 | 100 |
| 0 2 1 | 41.05 | 43 |
| 2 1 3 | 63.13 | 38 |
| 0 3 2 | 65.27 | 24 |
| 0 2 5 | 68.66 | 27 |
| 2 2 0 | 71.86 | 20 |
| 1 3 3 | 83.83 | 17 |

Atomic structure:
a = 5.255 Å, b = 5.255 Å, c = 8.550 Å
α = 90.00°, β = 90.00°, γ = 120.00°
Sites, in units of the cell vectors:
Sm  0.000  0.000  0.000
Pu  0.000  0.000  0.393
Pu  0.667  0.333  0.495
Pu  0.667  0.333  0.875
Cu  0.003  0.501  0.191
Cu  0.169  0.338  0.692
Cu  0.169  0.831  0.692
Cu  0.333  0.667  0.441
Cu  0.333  0.667  0.942
Cu  0.499  0.501  0.191
Cu  0.499  0.997  0.191
Cu  0.662  0.831  0.692